[1]
Starting from a PBE-relaxed structure, the powder diffractogram of V7Tc2Mo2 was computed for Cu Kα X-rays.
Kinematic intensities with the Lorentz-polarization factor, no thermal factor.

Top 6 peaks for 2θ from 10° to 90°, by angle:
Position (°2θ)	d_spacing	I (rel.)	h k l
41.7	2.166	51	4 0 -3
41.9	2.158	100	5 1 -1
42.3	2.137	97	1 1 2
42.5	2.129	48	0 2 0
61.0	1.518	46	4 2 -3
77.2	1.236	22	6 2 1

Structural model:
```
data_V7Tc2Mo2
_chemical_formula_sum 'V14 Tc4 Mo4'
_space_group_name_H-M_alt 'C 1 2/m 1'
_space_group_IT_number 12
_space_group_name_Hall '-C 2y'
_cell_length_a 12.660
_cell_length_b 4.257
_cell_length_c 6.653
_cell_angle_alpha 90.00
_cell_angle_beta 120.79
_cell_angle_gamma 90.00
loop_
_atom_site_label
_atom_site_type_symbol
_atom_site_fract_x
_atom_site_fract_y
_atom_site_fract_z
V1 V 0.000 0.000 0.000
V2 V 0.092 0.000 0.451
V3 V 0.138 0.500 0.183
V4 V 0.179 0.000 0.912
Tc1 Tc 0.229 0.500 0.639
Mo1 Mo 0.047 0.500 0.731
```

[2]
Starting from a PBE-relaxed structure, the powder diffractogram of VTcMo was computed for Cu Kα X-rays.
Kinematic intensities with the Lorentz-polarization factor, no thermal factor.

Top 6 peaks for 2θ from 10° to 90°, by angle:
Position (°2θ)	d_spacing	I (rel.)	h k l
40.9	2.208	26	0 0 2
41.5	2.178	100	1 3 1
42.0	2.153	24	0 6 0
60.0	1.542	16	0 6 2
74.8	1.269	16	1 3 3
76.3	1.248	15	1 9 1

Structural model:
```
data_VTcMo
_chemical_formula_sum 'V4 Tc4 Mo4'
_space_group_name_H-M_alt 'C m c m'
_space_group_IT_number 63
_space_group_name_Hall '-C 2c 2'
_cell_length_a 3.076
_cell_length_b 12.918
_cell_length_c 4.417
_cell_angle_alpha 90.00
_cell_angle_beta 90.00
_cell_angle_gamma 90.00
loop_
_atom_site_label
_atom_site_type_symbol
_atom_site_fract_x
_atom_site_fract_y
_atom_site_fract_z
V1 V 0.000 0.249 0.250
Tc1 Tc 0.000 0.414 0.750
Mo1 Mo 0.000 0.087 0.750
```

[3]
Starting from a PBE-relaxed structure, the powder diffractogram of V5Tc2Mo5 was computed for Cu Kα X-rays.
Kinematic intensities with the Lorentz-polarization factor, no thermal factor.

Top 6 peaks for 2θ from 10° to 90°, by angle:
Position (°2θ)	d_spacing	I (rel.)	h k l
41.2	2.189	100	0 3 0
41.3	2.185	17	1 0 -3
41.7	2.168	21	1 1 1
75.1	1.264	11	0 4 4
75.2	1.263	8	0 5 -4
89.5	1.095	8	0 6 0

Structural model:
```
data_V5Tc2Mo5
_chemical_formula_sum 'V5 Tc2 Mo5'
_space_group_name_H-M_alt 'P -1'
_space_group_IT_number 2
_space_group_name_Hall '-P 1'
_cell_length_a 2.666
_cell_length_b 6.755
_cell_length_c 10.154
_cell_angle_alpha 99.92
_cell_angle_beta 95.24
_cell_angle_gamma 98.18
loop_
_atom_site_label
_atom_site_type_symbol
_atom_site_fract_x
_atom_site_fract_y
_atom_site_fract_z
V1 V 0.000 0.000 0.000
V2 V 0.264 0.667 0.080
V3 V 0.282 0.332 0.413
Tc1 Tc 0.255 0.005 0.762
Mo1 Mo 0.000 0.000 0.500
Mo2 Mo 0.042 0.660 0.331
Mo3 Mo 0.488 0.669 0.839
```

Please write out number 3 again, unchanged.
Starting from a PBE-relaxed structure, the powder diffractogram of V5Tc2Mo5 was computed for Cu Kα X-rays.
Kinematic intensities with the Lorentz-polarization factor, no thermal factor.

Top 6 peaks for 2θ from 10° to 90°, by angle:
Position (°2θ)	d_spacing	I (rel.)	h k l
41.2	2.189	100	0 3 0
41.3	2.185	17	1 0 -3
41.7	2.168	21	1 1 1
75.1	1.264	11	0 4 4
75.2	1.263	8	0 5 -4
89.5	1.095	8	0 6 0

Structural model:
```
data_V5Tc2Mo5
_chemical_formula_sum 'V5 Tc2 Mo5'
_space_group_name_H-M_alt 'P -1'
_space_group_IT_number 2
_space_group_name_Hall '-P 1'
_cell_length_a 2.666
_cell_length_b 6.755
_cell_length_c 10.154
_cell_angle_alpha 99.92
_cell_angle_beta 95.24
_cell_angle_gamma 98.18
loop_
_atom_site_label
_atom_site_type_symbol
_atom_site_fract_x
_atom_site_fract_y
_atom_site_fract_z
V1 V 0.000 0.000 0.000
V2 V 0.264 0.667 0.080
V3 V 0.282 0.332 0.413
Tc1 Tc 0.255 0.005 0.762
Mo1 Mo 0.000 0.000 0.500
Mo2 Mo 0.042 0.660 0.331
Mo3 Mo 0.488 0.669 0.839
```

Repeat the third record exactly.
Starting from a PBE-relaxed structure, the powder diffractogram of V5Tc2Mo5 was computed for Cu Kα X-rays.
Kinematic intensities with the Lorentz-polarization factor, no thermal factor.

Top 6 peaks for 2θ from 10° to 90°, by angle:
Position (°2θ)	d_spacing	I (rel.)	h k l
41.2	2.189	100	0 3 0
41.3	2.185	17	1 0 -3
41.7	2.168	21	1 1 1
75.1	1.264	11	0 4 4
75.2	1.263	8	0 5 -4
89.5	1.095	8	0 6 0

Structural model:
```
data_V5Tc2Mo5
_chemical_formula_sum 'V5 Tc2 Mo5'
_space_group_name_H-M_alt 'P -1'
_space_group_IT_number 2
_space_group_name_Hall '-P 1'
_cell_length_a 2.666
_cell_length_b 6.755
_cell_length_c 10.154
_cell_angle_alpha 99.92
_cell_angle_beta 95.24
_cell_angle_gamma 98.18
loop_
_atom_site_label
_atom_site_type_symbol
_atom_site_fract_x
_atom_site_fract_y
_atom_site_fract_z
V1 V 0.000 0.000 0.000
V2 V 0.264 0.667 0.080
V3 V 0.282 0.332 0.413
Tc1 Tc 0.255 0.005 0.762
Mo1 Mo 0.000 0.000 0.500
Mo2 Mo 0.042 0.660 0.331
Mo3 Mo 0.488 0.669 0.839
```